For Rb3Tl4Hg2, a GGA-PBE-relaxed structure gives the calculated XRD peak list in this record (CuKα).
Peak positions follow from Bragg's law for the DFT cell and can differ from measured ones.

Cell and atoms:
Cell lengths 6.8394, 6.8394, 10.5439 Å; angles 112.73, 112.73, 48.55 degrees
Fractional positions:
Rb: 0.0000 0.0000 0.0000
Rb: 0.2928 0.2928 0.3715
Rb: 0.7072 0.7072 0.6285
Tl: 0.0229 0.0229 0.6563
Tl: 0.2739 0.2739 0.9306
Tl: 0.7261 0.7261 0.0694
Tl: 0.9771 0.9771 0.3437
Hg: 0.4645 0.4645 0.7644
Hg: 0.5355 0.5355 0.2356

Largest 8 diffraction maxima, sorted by position, 5 to 70 degrees two-theta:
two_theta	I/Imax
18.3	25
28.1	100
29.2	30
31.7	30
31.8	53
32.3	62
38.6	26
45.5	22

For Rb2TlHg16, a GGA-PBE-relaxed structure gives the calculated XRD peak list in this record (CuKα).
Peak positions follow from Bragg's law for the DFT cell and can differ from measured ones.

Cell and atoms:
Cell lengths 8.6733, 8.6733, 8.6733 Å; angles 74.49, 74.49, 74.49 degrees
Fractional positions:
Rb: 0.0000 0.0000 0.0000
Rb: 0.3681 0.3681 0.3681
Tl: 0.5969 0.5969 0.5969
Hg: 0.0689 0.0689 0.5355
Hg: 0.0689 0.5355 0.0689
Hg: 0.1905 0.6839 0.6839
Hg: 0.3002 0.3002 0.8493
Hg: 0.3002 0.8493 0.3002
Hg: 0.3937 0.6888 0.9839
Hg: 0.3937 0.9839 0.6888
Hg: 0.5355 0.0688 0.0689
Hg: 0.6839 0.1905 0.6839
Hg: 0.6839 0.6839 0.1905
Hg: 0.6888 0.3937 0.9839
Hg: 0.6888 0.9839 0.3937
Hg: 0.7867 0.7867 0.7867
Hg: 0.8493 0.3002 0.3002
Hg: 0.9839 0.3937 0.6888
Hg: 0.9839 0.6888 0.3937

Largest 8 diffraction maxima, sorted by position, 5 to 70 degrees two-theta:
two_theta	I/Imax
16.9	28
27.4	39
28.8	28
31.1	98
32.9	100
33.6	39
34.2	53
37.2	95

For RbTl6Hg2, a GGA-PBE-relaxed structure gives the calculated XRD peak list in this record (CuKα).
Peak positions follow from Bragg's law for the DFT cell and can differ from measured ones.

Cell and atoms:
Cell lengths 5.1642, 5.1642, 11.3311 Å; angles 90.00, 90.00, 90.00 degrees
Fractional positions:
Rb: 0.0000 0.0000 0.0000
Tl: 0.0000 0.0000 0.5000
Tl: 0.0000 0.5000 0.2988
Tl: 0.0000 0.5000 0.7012
Tl: 0.5000 0.0000 0.2988
Tl: 0.5000 0.0000 0.7012
Tl: 0.5000 0.5000 0.5000
Hg: 0.5000 0.5000 0.1317
Hg: 0.5000 0.5000 0.8683

Largest 8 diffraction maxima, sorted by position, 5 to 70 degrees two-theta:
two_theta	I/Imax
7.8	31
29.1	100
34.2	87
34.7	73
50.0	27
53.8	27
58.9	28
61.9	32

For Rb2TlHg7, a GGA-PBE-relaxed structure gives the calculated XRD peak list in this record (CuKα).
Peak positions follow from Bragg's law for the DFT cell and can differ from measured ones.

Cell and atoms:
Cell lengths 5.1703, 5.1703, 12.7890 Å; angles 90.00, 90.00, 90.00 degrees
Fractional positions:
Rb: 0.0000 0.5000 0.2452
Rb: 0.5000 0.0000 0.7548
Tl: 0.0000 0.0000 0.5000
Hg: 0.0000 0.0000 0.0000
Hg: 0.0000 0.5000 0.6340
Hg: 0.0000 0.5000 0.8680
Hg: 0.5000 0.0000 0.1320
Hg: 0.5000 0.0000 0.3660
Hg: 0.5000 0.5000 0.0000
Hg: 0.5000 0.5000 0.5000

Largest 8 diffraction maxima, sorted by position, 5 to 70 degrees two-theta:
two_theta	I/Imax
13.8	33
18.5	42
27.1	42
28.1	100
34.7	83
37.4	86
49.9	30
64.0	37

For RbTl5Hg7, a GGA-PBE-relaxed structure gives the calculated XRD peak list in this record (CuKα).
Peak positions follow from Bragg's law for the DFT cell and can differ from measured ones.

Cell and atoms:
Cell lengths 8.3673, 8.3673, 8.3673 Å; angles 129.20, 101.02, 100.19 degrees
Fractional positions:
Rb: 0.0000 0.0000 0.0000
Tl: 0.2243 0.7243 0.5000
Tl: 0.5129 0.0095 0.0111
Tl: 0.5129 0.5019 0.5034
Tl: 0.9985 0.0095 0.4966
Tl: 0.9985 0.5019 0.9889
Hg: 0.2297 0.5092 0.7204
Hg: 0.3482 0.3482 0.0000
Hg: 0.3617 0.0071 0.3546
Hg: 0.6391 0.6391 0.0000
Hg: 0.6525 0.0071 0.6454
Hg: 0.7888 0.5092 0.2796
Hg: 0.8111 0.3111 0.5000

Largest 8 diffraction maxima, sorted by position, 5 to 70 degrees two-theta:
two_theta	I/Imax
30.0	82
32.7	80
33.4	24
33.7	26
34.5	100
37.0	26
37.5	27
48.9	27

For Rb2Tl17Hg3, a GGA-PBE-relaxed structure gives the calculated XRD peak list in this record (CuKα).
Peak positions follow from Bragg's law for the DFT cell and can differ from measured ones.

Cell and atoms:
Cell lengths 9.1199, 9.3072, 9.3286 Å; angles 79.67, 84.83, 85.29 degrees
Fractional positions:
Rb: 0.1669 0.1559 0.1549
Rb: 0.8331 0.8441 0.8451
Tl: 0.0000 0.5000 0.5000
Tl: 0.1604 0.1630 0.6916
Tl: 0.1621 0.6897 0.1639
Tl: 0.2414 0.7600 0.4965
Tl: 0.2424 0.4965 0.7592
Tl: 0.3197 0.8289 0.8286
Tl: 0.3803 0.3921 0.3932
Tl: 0.5000 0.0000 0.5000
Tl: 0.4995 0.2513 0.7484
Tl: 0.5000 0.5000 0.0000
Tl: 0.5005 0.7487 0.2516
Tl: 0.6197 0.6079 0.6068
Tl: 0.6803 0.1711 0.1714
Tl: 0.7576 0.5035 0.2408
Tl: 0.7586 0.2400 0.5035
Tl: 0.8379 0.3103 0.8361
Tl: 0.8396 0.8370 0.3084
Hg: 0.0000 0.0000 0.5000
Hg: 0.0000 0.5000 0.0000
Hg: 0.5000 0.0000 0.0000

Largest 8 diffraction maxima, sorted by position, 5 to 70 degrees two-theta:
two_theta	I/Imax
14.2	29
28.7	48
28.8	48
29.9	48
30.2	100
33.5	33
33.7	35
34.5	37